Diffraction record for CaPr3Cd2. The powder diffractogram is computed, not measured: it uses a cell relaxed with PBE and λ = 1.5418 Å (Cu Kα).
Neutral-atom scattering factors, no anomalous dispersion.

```
12
Lattice="5.4712 0.0000 0.0000 0.0000 9.8682 0.0000 0.0000 0.0000 7.0492" Properties=species:S:1:pos:R:3 pbc="T T T"
Ca 0.0000 0.3841 0.0000
Ca 0.0000 9.4841 3.5246
Pr 0.0000 3.2339 4.7214
Pr 0.0000 6.6343 1.1968
Pr 2.7356 1.7205 2.0767
Pr 2.7356 4.4980 6.8309
Pr 2.7356 5.3702 3.3063
Pr 2.7356 8.1477 5.6013
Cd 0.0000 3.4080 1.4572
Cd 0.0000 6.4602 4.9819
Cd 2.7356 1.4893 5.3541
Cd 2.7356 8.3789 1.8295
```

Top 10 peaks for 10 to 80 degrees two-theta, in order of falling intensity:
2θ = 31.74°, intensity 1000, (1 3 0)
2θ = 31.53°, intensity 791, (1 1 2)
2θ = 32.74°, intensity 564, (2 0 0)
2θ = 31.19°, intensity 313, (0 2 2)
2θ = 30.16°, intensity 301, (1 0 2)
2θ = 45.84°, intensity 214, (2 2 2)
2θ = 56.64°, intensity 203, (1 4 3)
2θ = 41.00°, intensity 201, (1 3 2)
2θ = 57.81°, intensity 176, (3 3 0)
2θ = 27.43°, intensity 160, (1 2 1)

***

Diffraction record for CaPrCdSn. The powder diffractogram is computed, not measured: it uses a cell relaxed with PBE and λ = 1.5418 Å (Cu Kα).
Neutral-atom scattering factors, no anomalous dispersion.

```
4
Lattice="4.2154 0.0000 0.0000 0.0000 5.1510 0.0000 0.0000 0.0000 5.3368" Properties=species:S:1:pos:R:3 pbc="T T T"
Ca 0.0000 0.0000 0.0000
Pr 0.0000 2.5755 2.6684
Cd 2.1077 2.5755 0.0000
Sn 2.1077 0.0000 2.6684
```

Top 10 peaks for 10 to 80 degrees two-theta, in order of falling intensity:
2θ = 32.16°, intensity 1000, (1 1 1)
2θ = 33.59°, intensity 223, (0 0 2)
2θ = 34.83°, intensity 202, (0 2 0)
2θ = 59.16°, intensity 184, (1 1 3)
2θ = 60.78°, intensity 158, (1 3 1)
2θ = 49.17°, intensity 150, (0 2 2)
2θ = 67.28°, intensity 116, (2 2 2)
2θ = 42.91°, intensity 112, (2 0 0)
2θ = 55.56°, intensity 104, (2 0 2)
2θ = 56.41°, intensity 99, (2 2 0)

***

Diffraction record for CaPrYCd. The powder diffractogram is computed, not measured: it uses a cell relaxed with PBE and λ = 1.5418 Å (Cu Kα).
Neutral-atom scattering factors, no anomalous dispersion.

```
4
Lattice="3.6676 0.0000 0.0000 0.0000 3.6676 0.0000 0.0000 0.0000 9.5322" Properties=species:S:1:pos:R:3 pbc="T T T"
Ca 0.0000 0.0000 0.0000
Pr 1.8338 1.8338 2.9622
Y 0.0000 0.0000 5.4882
Cd 1.8338 1.8338 7.4350
```

Top 10 peaks for 10 to 80 degrees two-theta, in order of falling intensity:
2θ = 30.76°, intensity 1000, (1 0 2)
2θ = 34.59°, intensity 399, (1 1 0)
2θ = 59.61°, intensity 289, (2 1 2)
2θ = 52.12°, intensity 166, (1 1 4)
2θ = 49.72°, intensity 139, (2 0 0)
2θ = 37.75°, intensity 107, (0 0 4)
2θ = 18.62°, intensity 103, (0 0 2)
2θ = 24.27°, intensity 97, (1 0 0)
2θ = 64.07°, intensity 88, (2 0 4)
2θ = 63.86°, intensity 85, (1 0 6)

***

Diffraction record for Ca4Cd3Pt. The powder diffractogram is computed, not measured: it uses a cell relaxed with PBE and λ = 1.5418 Å (Cu Kα).
Neutral-atom scattering factors, no anomalous dispersion.

```
8
Lattice="3.7129 0.0000 0.0000 0.0000 3.7129 0.0000 0.0000 0.0000 15.2379" Properties=species:S:1:pos:R:3 pbc="T T T"
Ca 0.0000 0.0000 1.6123
Ca 0.0000 0.0000 5.6226
Ca 0.0000 0.0000 9.6153
Ca 0.0000 0.0000 13.6256
Cd 1.8565 1.8565 3.6360
Cd 1.8565 1.8565 7.6189
Cd 1.8565 1.8565 11.6018
Pt 1.8565 1.8565 0.0000
```

Top 10 peaks for 10 to 80 degrees two-theta, in order of falling intensity:
2θ = 33.71°, intensity 1000, (1 0 4)
2θ = 34.15°, intensity 511, (1 1 0)
2θ = 60.86°, intensity 345, (2 1 4)
2θ = 23.97°, intensity 333, (1 0 0)
2θ = 23.35°, intensity 179, (0 0 4)
2θ = 49.07°, intensity 177, (2 0 0)
2θ = 60.01°, intensity 163, (1 1 8)
2θ = 41.78°, intensity 161, (1 1 4)
2θ = 70.88°, intensity 90, (2 0 8)
2θ = 54.12°, intensity 86, (1 0 8)

***

Diffraction record for CaPuCd4. The powder diffractogram is computed, not measured: it uses a cell relaxed with PBE and λ = 1.5418 Å (Cu Kα).
Neutral-atom scattering factors, no anomalous dispersion.

```
6
Lattice="3.3299 0.0000 0.0000 0.0000 5.0770 0.0000 0.0000 0.0000 8.8598" Properties=species:S:1:pos:R:3 pbc="T T T"
Ca 0.0000 0.0000 0.0000
Pu 0.0000 2.5385 4.4299
Cd 1.6649 0.0000 2.9460
Cd 1.6649 0.0000 5.9138
Cd 1.6649 2.5385 1.4654
Cd 1.6649 2.5385 7.3943
```

Top 10 peaks for 10 to 80 degrees two-theta, in order of falling intensity:
2θ = 33.72°, intensity 1000, (1 1 1)
2θ = 35.15°, intensity 630, (0 1 3)
2θ = 35.36°, intensity 310, (0 2 0)
2θ = 49.63°, intensity 221, (1 2 2)
2θ = 67.12°, intensity 184, (2 1 3)
2θ = 26.73°, intensity 131, (0 1 2)
2θ = 49.42°, intensity 113, (1 0 4)
2θ = 17.47°, intensity 112, (0 1 0)
2θ = 62.22°, intensity 112, (1 2 4)
2θ = 62.09°, intensity 111, (1 1 5)

***

Diffraction record for RbCaCd10. The powder diffractogram is computed, not measured: it uses a cell relaxed with PBE and λ = 1.5418 Å (Cu Kα).
Neutral-atom scattering factors, no anomalous dispersion.

```
12
Lattice="4.8799 0.0000 0.0000 0.0000 6.1627 0.0000 0.0000 0.0000 10.6405" Properties=species:S:1:pos:R:3 pbc="T T T"
Rb 0.0000 0.0000 0.0000
Ca 0.0000 3.0814 5.3202
Cd 0.0000 0.0000 3.6224
Cd 0.0000 0.0000 7.0181
Cd 0.0000 3.0814 1.8654
Cd 0.0000 3.0814 8.7751
Cd 2.4400 0.0000 5.3202
Cd 2.4400 1.6008 2.8336
Cd 2.4400 1.6008 7.8068
Cd 2.4400 3.0814 0.0000
Cd 2.4400 4.5619 2.8336
Cd 2.4400 4.5619 7.8068
```

Top 10 peaks for 10 to 80 degrees two-theta, in order of falling intensity:
2θ = 34.46°, intensity 1000, (1 1 3)
2θ = 38.50°, intensity 644, (1 2 2)
2θ = 16.64°, intensity 468, (0 1 1)
2θ = 36.84°, intensity 338, (2 0 0)
2θ = 33.64°, intensity 258, (0 2 2)
2θ = 64.85°, intensity 169, (3 1 3)
2θ = 50.74°, intensity 154, (2 2 2)
2θ = 54.98°, intensity 153, (1 3 3)
2θ = 29.02°, intensity 146, (0 2 0)
2θ = 72.71°, intensity 144, (2 2 6)